The following is a simulated XRD peak list of FeHO2. It was derived from the GGA+U geometry in the Materials Project, using Cu Kα.
Lines closer than 0.1° are merged.

Peak list (10 most intense, 2θ = 5–70°, sorted by position)
2theta	I_rel
11.7	100.0
11.8	99.4
16.6	37.8
16.8	41.0
26.5	52.9
33.5	29.1
33.9	25.8
34.7	73.9
34.8	33.3
55.2	39.8

```
FeHO2
1.0
7.482 -1.539 0.000
7.482 1.539 0.000
-7.387 0.000 7.568
Fe H O
4 4 8
Cartesian
-1.494 0.000 3.749
3.747 0.000 1.549
3.830 0.000 6.019
9.072 0.000 3.819
-1.716 0.000 7.065
0.527 0.000 5.722
7.050 0.000 1.846
9.293 0.000 0.503
-4.702 0.000 5.376
-2.679 0.000 7.169
2.283 0.000 2.813
0.406 0.000 4.760
7.171 0.000 2.808
5.295 0.000 4.755
10.256 0.000 0.399
12.279 0.000 2.191
```

The following is a simulated XRD peak list of FeHO2. It was derived from the GGA+U geometry in the Materials Project, using Cu Kα.
Lines closer than 0.1° are merged.

Peak list (10 most intense, 2θ = 5–70°, sorted by position)
2theta	I_rel
11.8	100.0
16.7	37.6
26.5	43.2
33.7	27.9
34.8	53.2
38.8	12.8
46.0	14.7
55.3	38.5
63.7	13.6
67.1	12.8

```
FeHO2
1.0
-5.317 5.317 1.533
5.317 -5.317 1.533
5.317 5.317 -1.533
Fe H O
4 4 8
Cartesian
6.907 1.536 0.000
1.536 3.726 0.000
3.781 1.590 1.533
-1.590 3.781 1.533
4.368 3.707 0.000
1.609 -0.948 1.533
3.707 6.265 0.000
0.948 1.609 1.533
3.530 0.380 0.000
3.620 3.092 0.000
4.937 -1.786 1.533
2.225 -1.697 1.533
3.092 7.014 0.000
0.380 7.103 0.000
1.697 2.225 1.533
1.786 4.937 1.533
```